Entry 1:
Starting from a DFT-relaxed cell (GGA-PBE, Alexandria), the powder diffraction line list of AcCdAs2O8 was simulated for Cu Kα (λ = 1.5418 Å).

Crystal structure
Lattice parameters (Å, degrees): 7.5078 7.5078 6.6461 90.00 90.00 90.00
Space group I-4m2 (No. 119)
Inequivalent atoms, fractional coordinates:
Ac: 0.0000 0.0000 0.0000 [2 per cell]
Cd: 0.0000 0.5000 0.2500 [2 per cell]
As: 0.0000 0.0000 0.5000 [2 per cell]
As: 0.0000 0.5000 0.7500 [2 per cell]
O: 0.0000 0.1802 0.3382 [8 per cell]
O: 0.0000 0.3263 0.9188 [8 per cell]

Principal peaks in the range 15 to 90 degrees two-theta, in order of falling intensity:
23.70°, d = 3.754 Å, I 100, hkl 2 0 0; 31.77°, d = 2.817 Å, I 75, hkl 1 1 2; 47.04°, d = 1.932 Å, I 61, hkl 3 1 2; 33.77°, d = 2.654 Å, I 25, hkl 2 2 0; 17.82°, d = 4.976 Å, I 25, hkl 1 0 1; 59.15°, d = 1.562 Å, I 17, hkl 3 3 2; 69.87°, d = 1.346 Å, I 15, hkl 5 1 2; 48.50°, d = 1.877 Å, I 15, hkl 4 0 0; 54.67°, d = 1.679 Å, I 15, hkl 4 2 0; 60.99°, d = 1.519 Å, I 14, hkl 2 0 4

***

Entry 2:
Starting from a DFT-relaxed cell (GGA-PBE, Alexandria), the powder diffraction line list of AcCdAs2Pd5 was simulated for Cu Kα (λ = 1.5418 Å).

Crystal structure
Lattice parameters (Å, degrees): 4.7780 4.7780 8.3820 90.00 90.00 90.00
Space group P4/mmm (No. 123)
Inequivalent atoms, fractional coordinates:
Ac: 0.0000 0.0000 0.0000 [1 per cell]
Cd: 0.0000 0.0000 0.5000 [1 per cell]
As: 0.5000 0.5000 0.2861 [2 per cell]
Pd: 0.0000 0.5000 0.3194 [4 per cell]
Pd: 0.5000 0.5000 0.0000 [1 per cell]

Principal peaks in the range 15 to 90 degrees two-theta, in order of falling intensity:
37.65°, d = 2.389 Å, I 100, hkl 2 0 0; 34.09°, d = 2.630 Å, I 84, hkl 1 1 2; 28.33°, d = 3.151 Å, I 53, hkl 1 0 2; 28.48°, d = 3.134 Å, I 52, hkl 1 1 1; 50.25°, d = 1.816 Å, I 44, hkl 2 0 3; 32.03°, d = 2.794 Å, I 39, hkl 0 0 3; 54.30°, d = 1.689 Å, I 34, hkl 2 2 0; 51.30°, d = 1.781 Å, I 29, hkl 1 1 4; 47.78°, d = 1.904 Å, I 26, hkl 2 1 2; 65.69°, d = 1.421 Å, I 25, hkl 3 1 2